Structure and calculated powder diffractogram of Ti7Cl16 (the GGA-PBE geometry in Alexandria; Cu Kα (weighted mean of Kα1 and Kα2)).
Neutral-atom scattering factors, no anomalous dispersion.

Cell lengths 10.149, 14.651, 6.864 Å; angles 90.00, 90.00, 90.00 degrees
Space group Pnnm (No. 58)
Symmetry-distinct sites (fractional):
Ti 0.000 0.000 0.000
Ti 0.044 0.261 0.000
Ti 0.248 0.860 0.298
Cl 0.007 0.130 0.246
Cl 0.022 0.371 0.249
Cl 0.217 0.751 0.000
Cl 0.227 0.727 0.500
Cl 0.238 0.989 0.500
Cl 0.239 0.978 0.000

Most intense lines, 2θ = 10–90°, in order of rising 2θ:
(1 2 0), 14.91 deg, I = 60
(1 0 1), 15.59 deg, I = 25
(3 2 0), 29.03 deg, I = 14
(2 4 0), 30.08 deg, I = 23
(2 0 2), 31.47 deg, I = 15
(4 0 0), 35.38 deg, I = 43
(0 4 2), 35.86 deg, I = 100
(0 8 0), 49.79 deg, I = 13
(4 4 2), 51.26 deg, I = 43
(0 0 4), 53.39 deg, I = 12
(4 8 0), 62.54 deg, I = 13
(4 0 4), 65.70 deg, I = 11

Structure and calculated powder diffractogram of Sr6CaHg4 (the GGA-PBE geometry in Alexandria; Cu Kα (weighted mean of Kα1 and Kα2)).
Neutral-atom scattering factors, no anomalous dispersion.

Cell lengths 11.3166, 11.3166, 7.8511 Å; angles 90.00, 90.00, 120.00 degrees
Space group P6_3mc (No. 186)
Symmetry-distinct sites (fractional):
Sr 0.0572 0.5286 0.0000
Sr 0.1358 0.2715 0.6807
Ca 0.3333 0.6667 0.3814
Hg 0.1852 0.3705 0.2647
Hg 0.3333 0.6667 0.7600

Most intense lines, 2θ = 10–90°, in order of rising 2θ:
(2 0 0), 18.10 deg, I = 26
(2 0 1), 21.37 deg, I = 97
(0 0 2), 22.65 deg, I = 31
(2 1 1), 26.61 deg, I = 37
(2 0 2), 29.15 deg, I = 98
(3 0 1), 29.62 deg, I = 40
(2 2 0), 31.63 deg, I = 100
(4 0 1), 38.49 deg, I = 24
(2 0 3), 39.02 deg, I = 48
(2 2 2), 39.25 deg, I = 38
(5 2 1), 60.13 deg, I = 23
(2 0 5), 62.07 deg, I = 21

Structure and calculated powder diffractogram of V12Ge3Sb (the GGA-PBE geometry in Alexandria; Cu Kα (weighted mean of Kα1 and Kα2)).
Neutral-atom scattering factors, no anomalous dispersion.

Cell lengths 4.808, 4.821, 9.572 Å; angles 90.00, 90.00, 90.00 degrees
Space group Pmmm (No. 47)
Symmetry-distinct sites (fractional):
V 0.000 0.000 0.124
V 0.000 0.000 0.368
V 0.241 0.500 0.500
V 0.255 0.500 0.000
V 0.500 0.256 0.243
Ge 0.000 0.500 0.249
Ge 0.500 0.000 0.000
Sb 0.500 0.000 0.500

Most intense lines, 2θ = 10–90°, in order of rising 2θ:
(1 0 2), 26.23 deg, I = 24
(0 2 0), 37.30 deg, I = 24
(2 0 0), 37.41 deg, I = 23
(0 0 4), 37.59 deg, I = 23
(2 1 0), 41.97 deg, I = 56
(2 0 2), 42.11 deg, I = 28
(1 0 4), 42.18 deg, I = 21
(1 2 2), 46.23 deg, I = 100
(1 1 4), 46.38 deg, I = 48
(1 3 4), 73.67 deg, I = 35
(3 1 4), 73.87 deg, I = 21
(2 1 6), 73.97 deg, I = 13

Structure and calculated powder diffractogram of Dy5Tl5Ir (the GGA-PBE geometry in Alexandria; Cu Kα (weighted mean of Kα1 and Kα2)).
Neutral-atom scattering factors, no anomalous dispersion.

Cell lengths 15.469, 5.438, 9.295 Å; angles 90.00, 122.37, 90.00 degrees
Space group C2/m (No. 12)
Symmetry-distinct sites (fractional):
Dy 0.000 0.000 0.000
Dy 0.146 0.500 0.339
Dy 0.155 0.500 0.948
Tl 0.000 0.500 0.500
Tl 0.093 0.000 0.713
Tl 0.236 0.000 0.258
Ir 0.000 0.500 0.000

Most intense lines, 2θ = 10–90°, in order of rising 2θ:
(3 1 -1), 23.78 deg, I = 30
(4 0 -2), 24.40 deg, I = 33
(1 1 2), 31.69 deg, I = 64
(2 0 2), 32.29 deg, I = 29
(3 1 1), 32.79 deg, I = 71
(0 2 0), 32.94 deg, I = 100
(3 1 -3), 33.36 deg, I = 83
(6 0 -2), 34.81 deg, I = 53
(2 2 2), 46.80 deg, I = 21
(6 2 -2), 48.68 deg, I = 42
(7 1 0), 51.80 deg, I = 31
(1 3 2), 58.00 deg, I = 23